Record 1
Structure and simulated X-ray diffraction stick pattern of KRbTi4P6O24 (DFT lattice parameters and positions (PBE); Cu Kα).

Most intense lines, 10° ≤ 2θ ≤ 90°, in order of falling intensity:
hkl  Position (°2θ)  I_rel
2 -1 6  31.06  100
2 -1 3  23.88  99
1 1 0  20.99  65
4 -2 6  48.89  31
3 0 0  36.78  22
2 0 14  60.50  21
4 1 0  57.62  18
0 3 6  43.62  15
3 -2 2  33.21  13
0 2 4  28.68  13

Structural model:
```
data_KRbTi4P6O24
_chemical_formula_sum 'K3 Rb3 Ti12 P18 O72'
_symmetry_space_group_name_H-M 'R -3'
_symmetry_Int_Tables_number 148
_symmetry_space_group_name_Hall '-R 3'
_cell_length_a 8.4652
_cell_length_b 8.4652
_cell_length_c 23.5651
_cell_angle_alpha 90.00
_cell_angle_beta 90.00
_cell_angle_gamma 120.00
loop_
_atom_site_label
_atom_site_type_symbol
_atom_site_fract_x
_atom_site_fract_y
_atom_site_fract_z
K1 K 0.0000 0.0000 0.0000
Rb1 Rb 0.0000 0.0000 0.5000
Ti1 Ti 0.0000 0.0000 0.1496
Ti2 Ti 0.0000 0.0000 0.3493
P1 P 0.0008 0.7194 0.7496
O1 O 0.0216 0.1945 0.9015
O2 O 0.0394 0.8353 0.3990
O3 O 0.0510 0.2079 0.1976
O4 O 0.0634 0.8524 0.6989
```

Record 2
Structure and simulated X-ray diffraction stick pattern of KSbP2O8 (DFT lattice parameters and positions (PBE); Cu Kα).

Most intense lines, 10° ≤ 2θ ≤ 90°, in order of falling intensity:
hkl  Position (°2θ)  I_rel
1 0 4  25.21  100
0 0 3  10.18  84
1 1 0  37.04  24
0 1 8  34.83  21
1 0 1  21.41  18
1 1 6  42.66  14
3 -1 4  59.91  13
0 2 4  45.33  13
2 -1 12  56.87  12
1 0 10  40.71  10

Structural model:
```
data_KSbP2O8
_chemical_formula_sum 'K3 Sb3 P6 O24'
_symmetry_space_group_name_H-M 'R -3'
_symmetry_Int_Tables_number 148
_symmetry_space_group_name_Hall '-R 3'
_cell_length_a 4.8547
_cell_length_b 4.8547
_cell_length_c 26.0781
_cell_angle_alpha 90.00
_cell_angle_beta 90.00
_cell_angle_gamma 120.00
loop_
_atom_site_label
_atom_site_type_symbol
_atom_site_fract_x
_atom_site_fract_y
_atom_site_fract_z
K1 K 0.0000 0.0000 0.0000
Sb1 Sb 0.0000 0.0000 0.5000
P1 P 0.0000 0.0000 0.2346
O1 O 0.0000 0.0000 0.2917
O2 O 0.0171 0.6357 0.8789
```

Record 3
Structure and simulated X-ray diffraction stick pattern of K3ScP2O8 (DFT lattice parameters and positions (PBE); Cu Kα).

Most intense lines, 10° ≤ 2θ ≤ 90°, in order of falling intensity:
hkl  Position (°2θ)  I_rel
2 -1 2  29.68  100
3 0 0  32.50  86
4 -2 2  44.58  42
5 -4 2  56.24  26
3 0 4  58.17  24
6 0 0  68.06  15
0 0 1  11.41  14
2 2 1  39.51  13
5 2 2  75.97  12
3 3 0  57.98  11

Structural model:
```
data_K3ScP2O8
_chemical_formula_sum 'K9 Sc3 P6 O24'
_symmetry_space_group_name_H-M 'P -3'
_symmetry_Int_Tables_number 147
_symmetry_space_group_name_Hall '-P 3'
_cell_length_a 9.5444
_cell_length_b 9.5444
_cell_length_c 7.7577
_cell_angle_alpha 90.00
_cell_angle_beta 90.00
_cell_angle_gamma 120.00
loop_
_atom_site_label
_atom_site_type_symbol
_atom_site_fract_x
_atom_site_fract_y
_atom_site_fract_z
K1 K 0.0000 0.0000 0.0000
K2 K 0.0005 0.3340 0.2484
K3 K 0.3333 0.6667 0.0024
Sc1 Sc 0.0000 0.0000 0.5000
Sc2 Sc 0.3333 0.6667 0.5306
P1 P 0.0126 0.6723 0.2770
O1 O 0.0060 0.1825 0.6589
O2 O 0.0663 0.6991 0.0885
O3 O 0.1449 0.6628 0.3881
O4 O 0.1529 0.4875 0.6990
```